# Cu3Ag5
Computed powder XRD pattern, a wavelength of 1.5418 Å. Input: a DFT-relaxed cell (PBE, OQMD).

Most intense lines, 2θ from 5° to 70°, sorted by position:
d (Å)	2θ/deg	intensity	index
5.661	15.65	1	0 0 2
3.226	27.65	4	0 2 2
2.915	30.67	2	1 1 3
2.530	35.49	2	2 0 2
2.295	39.25	100	2 2 0
2.000	45.33	32	2 0 4
1.963	46.25	15	0 4 0
1.457	63.87	2	2 2 6
1.414	66.05	10	4 0 0
1.401	66.77	19	2 4 4

Structure:
a = 5.655 Å, b = 7.852 Å, c = 11.322 Å
α = 90.00°, β = 90.00°, γ = 90.00°
Space group Fmm2 (No. 42)
Inequivalent atoms, fractional coordinates:
Cu 0.000 0.000 0.000 (multiplicity 4)
Cu 0.250 0.250 0.383 (multiplicity 8)
Ag 0.000 0.000 0.256 (multiplicity 4)
Ag 0.000 0.000 0.498 (multiplicity 4)
Ag 0.000 0.000 0.768 (multiplicity 4)
Ag 0.250 0.250 0.126 (multiplicity 8)